Entry 1:
Calculated powder X-ray diffraction pattern of GdTmPb for Cu Ka, from the PBE geometry in Alexandria.
Intensities are scaled so that the largest is 100.

Top 10 peaks for 2θ = 15–90°, in order of rising 2θ:
- 2θ 31.6, I = 59
- 2θ 33.4, I = 100
- 2θ 45.2, I = 22
- 2θ 50.5, I = 7
- 2θ 57.4, I = 43
- 2θ 60.8, I = 17
- 2θ 65.9, I = 7
- 2θ 70.1, I = 11
- 2θ 74.9, I = 10
- 2θ 75.9, I = 10

Structural model:
a = 6.115 Å, b = 6.115 Å, c = 6.115 Å
α = 141.73°, β = 141.73°, γ = 55.23°
Element x y z (fractional)
Gd  0.000  0.000  0.000
Tm  0.315  0.315  0.000
Pb  0.664  0.664  0.000



Entry 2:
Calculated powder X-ray diffraction pattern of Gd3Pd2 for Cu Ka, from the PBE geometry in Alexandria.
Intensities are scaled so that the largest is 100.

Top 10 peaks for 2θ = 15–90°, in order of rising 2θ:
- 2θ 27.5, I = 10
- 2θ 31.9, I = 31
- 2θ 32.1, I = 10
- 2θ 34.0, I = 100
- 2θ 36.1, I = 51
- 2θ 45.5, I = 17
- 2θ 53.2, I = 12
- 2θ 59.4, I = 24
- 2θ 68.3, I = 15
- 2θ 76.6, I = 9

Structural model:
a = 7.878 Å, b = 7.878 Å, c = 3.986 Å
α = 90.00°, β = 90.00°, γ = 90.00°
Element x y z (fractional)
Gd  0.000  0.000  0.000
Gd  0.165  0.335  0.500
Gd  0.335  0.835  0.500
Gd  0.500  0.500  0.000
Gd  0.665  0.165  0.500
Gd  0.835  0.665  0.500
Pd  0.132  0.632  0.000
Pd  0.368  0.132  0.000
Pd  0.632  0.868  0.000
Pd  0.868  0.368  0.000



Entry 3:
Calculated powder X-ray diffraction pattern of PrGdSnPd for Cu Ka, from the PBE geometry in Alexandria.
Intensities are scaled so that the largest is 100.

Top 8 peaks for 2θ = 15–90°, in order of rising 2θ:
- 2θ 23.8, I = 2
- 2θ 33.9, I = 100
- 2θ 41.8, I = 1
- 2θ 48.7, I = 18
- 2θ 54.9, I = 1
- 2θ 60.6, I = 38
- 2θ 71.3, I = 12
- 2θ 81.3, I = 16

Structural model:
a = 5.291 Å, b = 5.291 Å, c = 5.291 Å
α = 60.00°, β = 60.00°, γ = 60.00°
Element x y z (fractional)
Pr  0.000  0.000  0.000
Gd  0.500  0.500  0.500
Sn  0.750  0.750  0.750
Pd  0.250  0.250  0.250



Entry 4:
Calculated powder X-ray diffraction pattern of GdTmScPd for Cu Ka, from the PBE geometry in Alexandria.
Intensities are scaled so that the largest is 100.

Top 10 peaks for 2θ = 15–90°, in order of rising 2θ:
- 2θ 21.2, I = 4
- 2θ 24.5, I = 15
- 2θ 34.9, I = 100
- 2θ 43.1, I = 5
- 2θ 50.2, I = 18
- 2θ 56.6, I = 7
- 2θ 62.6, I = 36
- 2θ 73.7, I = 11
- 2θ 79.0, I = 3
- 2θ 84.2, I = 16

Structural model:
a = 5.140 Å, b = 5.140 Å, c = 5.140 Å
α = 60.00°, β = 60.00°, γ = 60.00°
Element x y z (fractional)
Gd  0.000  0.000  0.000
Tm  0.500  0.500  0.500
Sc  0.250  0.250  0.250
Pd  0.750  0.750  0.750



Entry 5:
Calculated powder X-ray diffraction pattern of SmGdTcPd for Cu Ka, from the PBE geometry in Alexandria.
Intensities are scaled so that the largest is 100.

Top 9 peaks for 2θ = 15–90°, in order of rising 2θ:
- 2θ 25.4, I = 4
- 2θ 36.3, I = 100
- 2θ 44.8, I = 1
- 2θ 52.2, I = 17
- 2θ 59.0, I = 2
- 2θ 65.2, I = 36
- 2θ 77.0, I = 11
- 2θ 82.6, I = 1
- 2θ 88.2, I = 16

Structural model:
a = 4.954 Å, b = 4.954 Å, c = 4.954 Å
α = 60.00°, β = 60.00°, γ = 60.00°
Element x y z (fractional)
Sm  0.000  0.000  0.000
Gd  0.500  0.500  0.500
Tc  0.750  0.750  0.750
Pd  0.250  0.250  0.250



Entry 6:
Calculated powder X-ray diffraction pattern of Pm2PrGd for Cu Ka, from the PBE geometry in Alexandria.
Intensities are scaled so that the largest is 100.

Top 10 peaks for 2θ = 15–90°, in order of rising 2θ:
- 2θ 30.0, I = 100
- 2θ 34.8, I = 51
- 2θ 50.0, I = 36
- 2θ 59.3, I = 14
- 2θ 59.4, I = 29
- 2θ 62.3, I = 12
- 2θ 73.4, I = 4
- 2θ 81.2, I = 18
- 2θ 83.7, I = 5
- 2θ 83.9, I = 11

Structural model:
a = 5.158 Å, b = 5.158 Å, c = 5.169 Å
α = 90.00°, β = 90.00°, γ = 90.00°
Element x y z (fractional)
Pm  0.000  0.500  0.000
Pm  0.500  0.000  0.000
Pr  0.000  0.000  0.500
Gd  0.500  0.500  0.500



Entry 7:
Calculated powder X-ray diffraction pattern of PmGdSc for Cu Ka, from the PBE geometry in Alexandria.
Intensities are scaled so that the largest is 100.

Top 10 peaks for 2θ = 15–90°, in order of rising 2θ:
- 2θ 18.6, I = 30
- 2θ 32.2, I = 100
- 2θ 32.5, I = 83
- 2θ 46.4, I = 36
- 2θ 57.8, I = 38
- 2θ 58.0, I = 16
- 2θ 64.1, I = 23
- 2θ 68.1, I = 10
- 2θ 77.3, I = 16
- 2θ 82.9, I = 11

Structural model:
a = 5.510 Å, b = 5.510 Å, c = 3.419 Å
α = 90.00°, β = 90.00°, γ = 120.00°
Element x y z (fractional)
Pm  0.000  0.000  0.000
Gd  0.667  0.333  0.500
Sc  0.333  0.667  0.000



Entry 8:
Calculated powder X-ray diffraction pattern of PmGdSi2 for Cu Ka, from the PBE geometry in Alexandria.
Intensities are scaled so that the largest is 100.

Top 10 peaks for 2θ = 15–90°, in order of rising 2θ:
- 2θ 21.8, I = 37
- 2θ 26.9, I = 45
- 2θ 34.8, I = 100
- 2θ 38.3, I = 38
- 2θ 44.4, I = 13
- 2θ 44.5, I = 24
- 2θ 52.7, I = 15
- 2θ 55.3, I = 13
- 2θ 60.1, I = 30
- 2θ 67.1, I = 29

Structural model:
a = 3.320 Å, b = 3.320 Å, c = 8.162 Å
α = 90.00°, β = 90.00°, γ = 90.00°
Element x y z (fractional)
Pm  0.000  0.000  0.000
Gd  0.000  0.000  0.500
Si  0.500  0.500  0.254
Si  0.500  0.500  0.746



Entry 9:
Calculated powder X-ray diffraction pattern of PmGdZnSi for Cu Ka, from the PBE geometry in Alexandria.
Intensities are scaled so that the largest is 100.

Top 10 peaks for 2θ = 15–90°, in order of rising 2θ:
- 2θ 21.5, I = 3
- 2θ 24.8, I = 31
- 2θ 35.4, I = 100
- 2θ 43.7, I = 9
- 2θ 50.9, I = 18
- 2θ 57.5, I = 13
- 2θ 63.6, I = 36
- 2θ 74.9, I = 11
- 2θ 80.3, I = 6
- 2θ 85.7, I = 16

Structural model:
a = 5.071 Å, b = 5.071 Å, c = 5.071 Å
α = 60.00°, β = 60.00°, γ = 60.00°
Element x y z (fractional)
Pm  0.000  0.000  0.000
Gd  0.500  0.500  0.500
Zn  0.750  0.750  0.750
Si  0.250  0.250  0.250



Entry 10:
Calculated powder X-ray diffraction pattern of PmSmGd4 for Cu Ka, from the PBE geometry in Alexandria.
Intensities are scaled so that the largest is 100.

Top 10 peaks for 2θ = 15–90°, in order of rising 2θ:
- 2θ 16.4, I = 6
- 2θ 26.9, I = 25
- 2θ 31.6, I = 100
- 2θ 33.1, I = 42
- 2θ 47.5, I = 11
- 2θ 50.6, I = 36
- 2θ 55.4, I = 32
- 2θ 65.3, I = 13
- 2θ 66.1, I = 17
- 2θ 78.3, I = 22

Structural model:
a = 6.630 Å, b = 6.630 Å, c = 6.630 Å
α = 60.00°, β = 60.00°, γ = 60.00°
Element x y z (fractional)
Pm  0.000  0.000  0.000
Sm  0.750  0.750  0.750
Gd  0.375  0.375  0.375
Gd  0.375  0.375  0.875
Gd  0.375  0.875  0.375
Gd  0.875  0.375  0.375



Entry 11:
Calculated powder X-ray diffraction pattern of Pm2SmGd for Cu Ka, from the PBE geometry in Alexandria.
Intensities are scaled so that the largest is 100.

Top 7 peaks for 2θ = 15–90°, in order of rising 2θ:
- 2θ 31.0, I = 100
- 2θ 44.4, I = 19
- 2θ 55.1, I = 39
- 2θ 64.6, I = 12
- 2θ 73.3, I = 17
- 2θ 81.7, I = 4
- 2θ 89.9, I = 21

Structural model:
a = 5.774 Å, b = 5.774 Å, c = 5.774 Å
α = 60.00°, β = 60.00°, γ = 60.00°
Element x y z (fractional)
Pm  0.250  0.250  0.250
Pm  0.750  0.750  0.750
Sm  0.000  0.000  0.000
Gd  0.500  0.500  0.500



Entry 12:
Calculated powder X-ray diffraction pattern of TbPm4Gd for Cu Ka, from the PBE geometry in Alexandria.
Intensities are scaled so that the largest is 100.

Top 10 peaks for 2θ = 15–90°, in order of rising 2θ:
- 2θ 26.7, I = 28
- 2θ 31.4, I = 100
- 2θ 32.8, I = 39
- 2θ 47.1, I = 12
- 2θ 50.2, I = 36
- 2θ 55.0, I = 31
- 2θ 64.7, I = 13
- 2θ 65.6, I = 16
- 2θ 77.6, I = 22
- 2θ 90.0, I = 13

Structural model:
a = 6.679 Å, b = 6.679 Å, c = 6.679 Å
α = 60.00°, β = 60.00°, γ = 60.00°
Element x y z (fractional)
Tb  0.000  0.000  0.000
Pm  0.374  0.374  0.374
Pm  0.374  0.374  0.877
Pm  0.374  0.877  0.374
Pm  0.877  0.374  0.374
Gd  0.750  0.750  0.750